Starting from a PBE+U-relaxed structure, the powder X-ray diffraction pattern of Mg6VSiO8 was simulated for Cu Kα (weighted mean of Kα1 and Kα2).

abc: 4.3350 4.3350 8.6860
angles: 90.00 90.00 90.00
Atoms (fractional coordinates):
Mg 0.0000 0.0000 0.0000
Mg 0.0000 0.5000 0.2454
Mg 0.0000 0.5000 0.7546
Mg 0.5000 0.0000 0.2454
Mg 0.5000 0.0000 0.7546
Mg 0.5000 0.5000 0.0000
V 0.0000 0.0000 0.5000
Si 0.5000 0.5000 0.5000
O 0.0000 0.0000 0.2452
O 0.0000 0.0000 0.7548
O 0.0000 0.5000 0.0000
O 0.0000 0.5000 0.5000
O 0.5000 0.0000 0.0000
O 0.5000 0.0000 0.5000
O 0.5000 0.5000 0.2377
O 0.5000 0.5000 0.7623

Peak list (10 most intense, 10 to 90 degrees two-theta, by angle)
10.18 deg, 8.686 Å, I 4, (0 0 1)
20.47 deg, 4.339 Å, I 3, (0 0 2)
22.93 deg, 3.879 Å, I 3, (1 0 1)
30.91 deg, 2.893 Å, I 3, (0 0 3)
35.86 deg, 2.504 Å, I 16, (1 1 2)
41.64 deg, 2.169 Å, I 100, (2 0 0)
60.36 deg, 1.534 Å, I 57, (2 2 0)
72.16 deg, 1.309 Å, I 3, (1 1 6)
72.27 deg, 1.307 Å, I 6, (3 1 2)
76.00 deg, 1.252 Å, I 17, (2 2 4)